[1]
The following is a computed powder diffractogram of As2O5. It was derived from the GGA-PBE geometry in Alexandria, using CuKα.

Top 10 peaks for 2θ from 5° to 70°, by intensity:
d = 6.196 Å, 2θ = 14.30°, rel. 1000; d = 3.012 Å, 2θ = 29.66°, rel. 823; d = 3.207 Å, 2θ = 27.82°, rel. 570; d = 3.749 Å, 2θ = 23.74°, rel. 441; d = 1.937 Å, 2θ = 46.91°, rel. 342; d = 2.482 Å, 2θ = 36.19°, rel. 329; d = 4.381 Å, 2θ = 20.27°, rel. 277; d = 2.430 Å, 2θ = 36.99°, rel. 216; d = 2.201 Å, 2θ = 41.01°, rel. 176; d = 1.406 Å, 2θ = 66.52°, rel. 175

Cell and atoms:
Cell: 8.7618 8.7618 4.7082 Å, 90.00 90.00 90.00°
Fractional positions:
As (0.0973, 0.0973, 0.0000)
As (0.2160, 0.7840, 0.7500)
As (0.2840, 0.2840, 0.5000)
As (0.4027, 0.5973, 0.2500)
As (0.5973, 0.4027, 0.7500)
As (0.7160, 0.7160, 0.0000)
As (0.7840, 0.2160, 0.2500)
As (0.9027, 0.9027, 0.5000)
O (0.0236, 0.7542, 0.6753)
O (0.0570, 0.9430, 0.2500)
O (0.1542, 0.2656, 0.7704)
O (0.2344, 0.6542, 0.0204)
O (0.2458, 0.9764, 0.8247)
O (0.2542, 0.4764, 0.4253)
O (0.2656, 0.1542, 0.2296)
O (0.3458, 0.7656, 0.4796)
O (0.4430, 0.4430, 0.0000)
O (0.4764, 0.2542, 0.5747)
O (0.5236, 0.7458, 0.0747)
O (0.5570, 0.5570, 0.5000)
O (0.6542, 0.2344, 0.9796)
O (0.7344, 0.8458, 0.7296)
O (0.7458, 0.5236, 0.9253)
O (0.7542, 0.0236, 0.3247)
O (0.7656, 0.3458, 0.5204)
O (0.8458, 0.7344, 0.2704)
O (0.9430, 0.0570, 0.7500)
O (0.9764, 0.2458, 0.1753)


[2]
The following is a computed powder diffractogram of AsO4. It was derived from the GGA-PBE geometry in Alexandria, using CuKα.

Top 6 peaks for 2θ from 5° to 70°, by intensity:
d = 3.692 Å, 2θ = 24.10°, rel. 1000; d = 2.611 Å, 2θ = 34.35°, rel. 792; d = 1.846 Å, 2θ = 49.36°, rel. 433; d = 1.651 Å, 2θ = 55.66°, rel. 388; d = 1.507 Å, 2θ = 61.52°, rel. 285; d = 2.132 Å, 2θ = 42.40°, rel. 10

Cell and atoms:
Cell: 3.6924 3.6924 3.6924 Å, 90.00 90.00 90.00°
Fractional positions:
As (0.0000, 0.0000, 0.0000)
O (0.0000, 0.0000, 0.5000)
O (0.0000, 0.5000, 0.0000)
O (0.5000, 0.0000, 0.0000)
O (0.5000, 0.5000, 0.5000)


[3]
The following is a computed powder diffractogram of PaAsO5. It was derived from the GGA-PBE geometry in Alexandria, using CuKα.

Top 10 peaks for 2θ from 5° to 70°, by intensity:
d = 3.694 Å, 2θ = 24.09°, rel. 1000; d = 5.507 Å, 2θ = 16.10°, rel. 894; d = 3.611 Å, 2θ = 24.66°, rel. 586; d = 4.256 Å, 2θ = 20.87°, rel. 422; d = 2.641 Å, 2θ = 33.95°, rel. 392; d = 2.565 Å, 2θ = 34.98°, rel. 253; d = 2.599 Å, 2θ = 34.51°, rel. 253; d = 1.835 Å, 2θ = 49.68°, rel. 214; d = 2.743 Å, 2θ = 32.64°, rel. 199; d = 2.723 Å, 2θ = 32.89°, rel. 180

Cell and atoms:
Cell: 5.9280 5.9280 8.2021 Å, 109.69 109.69 91.77°
Fractional positions:
Pa (0.0000, 0.0000, 0.0000)
Pa (0.0000, 0.0000, 0.5000)
As (0.3667, 0.6333, 0.7500)
As (0.6333, 0.3667, 0.2500)
O (0.0548, 0.9452, 0.2500)
O (0.2406, 0.7418, 0.9167)
O (0.2582, 0.7594, 0.5833)
O (0.2892, 0.3246, 0.6477)
O (0.3246, 0.2892, 0.1477)
O (0.6754, 0.7108, 0.8523)
O (0.7108, 0.6754, 0.3523)
O (0.7418, 0.2406, 0.4167)
O (0.7594, 0.2582, 0.0833)
O (0.9452, 0.0548, 0.7500)


[4]
The following is a computed powder diffractogram of PaAs3O9. It was derived from the GGA-PBE geometry in Alexandria, using CuKα.

Top 10 peaks for 2θ from 5° to 70°, by intensity:
d = 4.520 Å, 2θ = 19.64°, rel. 1000; d = 6.182 Å, 2θ = 14.33°, rel. 488; d = 3.086 Å, 2θ = 28.93°, rel. 360; d = 3.851 Å, 2θ = 23.09°, rel. 310; d = 3.284 Å, 2θ = 27.15°, rel. 309; d = 4.136 Å, 2θ = 21.48°, rel. 236; d = 5.033 Å, 2θ = 17.62°, rel. 225; d = 2.855 Å, 2θ = 31.33°, rel. 212; d = 3.615 Å, 2θ = 24.63°, rel. 198; d = 2.768 Å, 2θ = 32.35°, rel. 191

Cell and atoms:
Cell: 8.3285 8.3285 10.1716 Å, 120.34 120.34 56.11°
Fractional positions:
Pa (0.2172, 0.7828, 0.5000)
Pa (0.7828, 0.2172, 0.0000)
As (0.2275, 0.2995, 0.7895)
As (0.2995, 0.2275, 0.2895)
As (0.5965, 0.7061, 0.3430)
As (0.7061, 0.5965, 0.8430)
As (0.7072, 0.9717, 0.1797)
As (0.9717, 0.7072, 0.6797)
O (0.0412, 0.8132, 0.6228)
O (0.1039, 0.1770, 0.1203)
O (0.1089, 0.3963, 0.9192)
O (0.1770, 0.1039, 0.6203)
O (0.1892, 0.4918, 0.7268)
O (0.2076, 0.4890, 0.3635)
O (0.3963, 0.1089, 0.4192)
O (0.3974, 0.7081, 0.3684)
O (0.4638, 0.6748, 0.6899)
O (0.4890, 0.2076, 0.8635)
O (0.4918, 0.1892, 0.2268)
O (0.6107, 0.7935, 0.0291)
O (0.6748, 0.4638, 0.1899)
O (0.7081, 0.3974, 0.8684)
O (0.7935, 0.6107, 0.5291)
O (0.8132, 0.0412, 0.1228)
O (0.8893, 0.8903, 0.3393)
O (0.8903, 0.8893, 0.8393)


[5]
The following is a computed powder diffractogram of PaAs4O12. It was derived from the GGA-PBE geometry in Alexandria, using CuKα.

Top 10 peaks for 2θ from 5° to 70°, by intensity:
d = 6.024 Å, 2θ = 14.70°, rel. 1000; d = 3.315 Å, 2θ = 26.90°, rel. 879; d = 3.012 Å, 2θ = 29.66°, rel. 619; d = 5.614 Å, 2θ = 15.78°, rel. 594; d = 4.624 Å, 2θ = 19.20°, rel. 272; d = 1.792 Å, 2θ = 50.96°, rel. 259; d = 2.142 Å, 2θ = 42.18°, rel. 254; d = 3.569 Å, 2θ = 24.95°, rel. 250; d = 2.206 Å, 2θ = 40.90°, rel. 242; d = 2.874 Å, 2θ = 31.12°, rel. 241

Cell and atoms:
Cell: 7.2728 7.2728 7.9324 Å, 123.04 123.04 78.95°
Fractional positions:
Pa (0.0000, 0.0000, 0.0000)
As (0.4469, 0.0895, 0.6044)
As (0.5155, 0.1580, 0.0692)
As (0.8420, 0.4845, 0.9308)
As (0.9105, 0.5531, 0.3956)
O (0.0443, 0.7710, 0.6825)
O (0.0576, 0.3397, 0.3381)
O (0.2290, 0.9557, 0.3175)
O (0.3489, 0.1545, 0.7947)
O (0.3611, 0.0872, 0.1318)
O (0.5546, 0.3588, 0.7053)
O (0.6412, 0.4454, 0.2947)
O (0.6603, 0.9424, 0.6619)
O (0.7197, 0.0017, 0.0596)
O (0.8455, 0.6511, 0.2053)
O (0.9128, 0.6389, 0.8682)
O (0.9983, 0.2803, 0.9404)


[6]
The following is a computed powder diffractogram of Pr2PaAsO8. It was derived from the GGA-PBE geometry in Alexandria, using CuKα.

Top 10 peaks for 2θ from 5° to 70°, by intensity:
d = 2.850 Å, 2θ = 31.39°, rel. 1000; d = 3.688 Å, 2θ = 24.13°, rel. 638; d = 3.566 Å, 2θ = 24.97°, rel. 536; d = 1.924 Å, 2θ = 47.24°, rel. 477; d = 1.889 Å, 2θ = 48.19°, rel. 351; d = 2.564 Å, 2θ = 35.00°, rel. 305; d = 1.530 Å, 2θ = 60.53°, rel. 225; d = 4.106 Å, 2θ = 21.64°, rel. 212; d = 1.605 Å, 2θ = 57.40°, rel. 111; d = 1.783 Å, 2θ = 51.24°, rel. 110

Cell and atoms:
Cell: 5.1305 5.1305 6.8564 Å, 90.00 90.00 91.93°
Fractional positions:
Pr (0.0012, 0.0012, 0.2654)
Pr (0.9988, 0.9988, 0.7346)
Pa (0.5000, 0.5000, 0.0000)
As (0.5000, 0.5000, 0.5000)
O (0.2055, 0.2055, 0.9994)
O (0.2468, 0.2468, 0.5011)
O (0.3278, 0.6706, 0.2789)
O (0.3294, 0.6722, 0.7211)
O (0.6706, 0.3278, 0.2789)
O (0.6722, 0.3294, 0.7211)
O (0.7532, 0.7532, 0.4989)
O (0.7945, 0.7945, 0.0006)